The following is a simulated powder diffraction line list of Ho2CrGaO6. It was derived from a DFT-relaxed cell (GGA+U, Alexandria), using λ = 1.5418 Å (Cu Kα).
Kinematic intensities with the Lorentz-polarization factor, no thermal factor.

Cell: 5.230 5.230 4.640 Å, 90.00 90.00 90.00°
Space group P4mm (No. 99)
Asymmetric unit:
Ho 0.000 0.500 0.000 x2
Cr 0.000 0.000 0.602 x1
Ga 0.500 0.500 0.576 x1
O 0.000 0.000 0.180 x1
O 0.253 0.253 0.717 x4
O 0.500 0.500 0.179 x1

The 8 most intense peaks (2θ = 10–90°), in order of rising 2θ:
| d_spacing | 2theta | I/Imax | (hkl) |
| --- | --- | --- | --- |
| 4.640 | 19.13 | 26 | 0 0 1 |
| 2.892 | 30.92 | 100 | 1 1 1 |
| 2.615 | 34.29 | 38 | 2 0 0 |
| 2.278 | 39.56 | 18 | 2 0 1 |
| 1.965 | 46.19 | 19 | 1 1 2 |
| 1.849 | 49.28 | 22 | 2 2 0 |
| 1.736 | 52.74 | 23 | 2 0 2 |
| 1.558 | 59.32 | 31 | 3 1 1 |